For Cr2Mo3W4, a structure optimized by DFT (GGA-PBE) gives the simulated X-ray diffraction stick pattern in this record (CuKα).

Structure:
```
Cr2Mo3W4
1.0
5.3338 0.0000 0.0000
1.9634 6.2057 0.0000
2.4742 1.5640 8.5123
Cr Mo W
4 6 8
Cartesian
1.3424 1.1862 2.7983 Cr
4.6074 5.5658 8.0578 Cr
5.1640 2.2038 0.4545 Cr
8.4291 6.5835 5.7141 Cr
2.7059 5.7110 1.1560 Mo
4.4632 5.2236 3.9681 Mo
3.5450 3.2545 2.0989 Mo
6.2264 4.5152 6.4135 Mo
5.3082 2.5461 4.5443 Mo
7.0655 2.0586 7.3563 Mo
3.4967 4.1485 6.3814 W
2.6240 2.4917 4.5113 W
2.2851 1.4535 0.0298 W
6.0452 7.2874 6.4829 W
3.7262 0.4823 2.0294 W
7.4863 6.3162 8.4825 W
7.1475 5.2779 4.0010 W
6.2748 3.6211 2.1309 W
```

Top 6 peaks for 2θ from 10° to 90°, in order of falling intensity:
two_theta  d (Å)  Rel. int.  hkl
39.31  2.292  100  0 2 -2
40.05  2.251  88  2 1 -1
32.87  2.725  70  0 2 2
42.64  2.120  67  2 -1 1
42.45  2.130  55  0 0 4
40.65  2.219  44  1 1 4